Record 1
Starting from DFT lattice parameters and positions (GGA-PBE), the powder X-ray diffraction pattern of HoPuAgRu was simulated for copper Kα.
No peak broadening, texture or thermal motion is included.

The 10 most intense peaks (2θ from 10° to 90°), in order of rising 2θ:
2theta  I/Imax
21.97  3
25.42  10
36.25  100
44.79  3
52.20  18
58.93  5
65.21  36
76.95  11
82.59  2
88.16  16

Crystal structure
Cell lengths 7.0089, 7.0089, 7.0089 Å; angles 90.00, 90.00, 90.00 degrees
Space group F-43m (No. 216)
Asymmetric unit:
Ho 0.0000 0.0000 0.0000 x4
Pu 0.0000 0.0000 0.5000 x4
Ag 0.2500 0.2500 0.2500 x4
Ru 0.2500 0.2500 0.7500 x4

=====

Record 2
Starting from DFT lattice parameters and positions (GGA-PBE), the powder X-ray diffraction pattern of HoPuAgSn was simulated for copper Kα.
No peak broadening, texture or thermal motion is included.

The 10 most intense peaks (2θ from 10° to 90°), in order of rising 2θ:
2theta  I/Imax
20.70  3
23.94  8
34.11  100
42.11  3
49.02  18
55.26  4
61.07  38
71.84  12
76.96  2
81.97  17

Crystal structure
Cell lengths 7.4339, 7.4339, 7.4339 Å; angles 90.00, 90.00, 90.00 degrees
Space group F-43m (No. 216)
Asymmetric unit:
Ho 0.0000 0.0000 0.0000 x4
Pu 0.0000 0.0000 0.5000 x4
Ag 0.2500 0.2500 0.2500 x4
Sn 0.2500 0.2500 0.7500 x4

=====

Record 3
Starting from DFT lattice parameters and positions (GGA-PBE), the powder X-ray diffraction pattern of Ho2PuAg3Te6 was simulated for copper Kα.
No peak broadening, texture or thermal motion is included.

The 10 most intense peaks (2θ from 10° to 90°), in order of rising 2θ:
2theta  I/Imax
11.87  24
25.25  21
26.30  100
32.29  38
33.93  34
40.37  35
40.44  25
41.57  15
42.65  33
52.66  19

Crystal structure
Cell lengths 17.2518, 4.4615, 10.4281 Å; angles 90.00, 105.39, 90.00 degrees
Space group C2/m (No. 12)
Asymmetric unit:
Ho 0.1621 0.0000 0.3359 x4
Pu 0.0000 0.5000 0.0000 x2
Ag 0.0000 0.5000 0.5000 x2
Ag 0.1720 0.0000 0.9647 x4
Te 0.0163 0.0000 0.7944 x4
Te 0.1578 0.5000 0.5344 x4
Te 0.1911 0.5000 0.1446 x4

=====

Record 4
Starting from DFT lattice parameters and positions (GGA-PBE), the powder X-ray diffraction pattern of RbHo2AgS4 was simulated for copper Kα.
No peak broadening, texture or thermal motion is included.

The 10 most intense peaks (2θ from 10° to 90°), in order of rising 2θ:
2theta  I/Imax
14.33  57
22.81  59
25.97  36
26.11  48
29.71  28
30.10  37
32.06  100
34.15  40
44.19  44
44.66  28

Crystal structure
Cell lengths 4.0582, 13.7217, 14.2140 Å; angles 90.00, 90.00, 90.00 degrees
Space group Cmcm (No. 63)
Asymmetric unit:
Rb 0.0000 0.1153 0.2500 x4
Ho 0.0000 0.3682 0.0646 x8
Ag 0.0000 0.1664 0.7500 x4
S 0.0000 0.0000 0.0000 x4
S 0.0000 0.2602 0.5987 x8
S 0.0000 0.4385 0.2500 x4